The following is a calculated X-ray diffraction stick pattern of Mn5FeP6O24. It was derived from a DFT-relaxed cell (GGA+U, Alexandria), using λ = 1.5418 Å (Cu Kα).
Intensities are scaled so that the largest is 100.

Crystal structure
Lattice parameters (Å, degrees): 8.5798 8.5798 21.1418 90.00 90.00 120.00
Space group R3 (No. 146, hexagonal axes)
One atom of each set of equivalent atoms:
Mn (0.0000, 0.0000, 0.0000)
Mn (0.0000, 0.0000, 0.1432)
Mn (0.0000, 0.0000, 0.2877)
Mn (0.0000, 0.0000, 0.5001)
Mn (0.0000, 0.0000, 0.6449)
Fe (0.0000, 0.0000, 0.7886)
P (0.0001, 0.2931, 0.8948)
P (0.0005, 0.7114, 0.3933)
O (0.0027, 0.8104, 0.3322)
O (0.0058, 0.2001, 0.8344)
O (0.0129, 0.1796, 0.5655)
O (0.0284, 0.8399, 0.0653)
O (0.1391, 0.4627, 0.6227)
O (0.1393, 0.6676, 0.1214)
O (0.1675, 0.6874, 0.3880)
O (0.1746, 0.4851, 0.8906)

Largest 10 diffraction maxima, low angle first, 2θ from 10° to 80°:
two_theta, I_rel, hkl
20.69, 94, 1 1 0
24.29, 100, 2 -1 3
25.41, 15, 2 0 2
32.15, 17, 3 -1 1
32.89, 70, 1 1 6
36.27, 38, 3 0 0
47.23, 30, 1 2 8
49.77, 28, 4 -2 6
56.77, 26, 4 1 0
63.12, 19, 1 4 6